Structure and simulated X-ray diffraction stick pattern of Pr4SmSi4 (a DFT-relaxed cell (PBE, Alexandria); λ = 1.5418 Å (Cu Kα)).
Lines closer than 0.1° are merged.

Cell and atoms:
Unit cell a=9.0869 b=9.0869 c=6.0932 alpha=90.00 beta=90.00 gamma=90.00
Element x y z (fractional)
Pr (0.0510, 0.6719, 0.1137)
Pr (0.1719, 0.9490, 0.6137)
Pr (0.3281, 0.5510, 0.6137)
Pr (0.4490, 0.8281, 0.1137)
Pr (0.5510, 0.1719, 0.8863)
Pr (0.6719, 0.4490, 0.3863)
Pr (0.8281, 0.0510, 0.3863)
Pr (0.9490, 0.3281, 0.8863)
Sm (0.2500, 0.2500, 0.2500)
Sm (0.7500, 0.7500, 0.7500)
Si (0.0114, 0.6167, 0.6009)
Si (0.1167, 0.9886, 0.1009)
Si (0.3833, 0.5114, 0.1009)
Si (0.4886, 0.8833, 0.6009)
Si (0.5114, 0.1167, 0.3991)
Si (0.6167, 0.4886, 0.8991)
Si (0.8833, 0.0114, 0.8991)
Si (0.9886, 0.3833, 0.3991)

Peak list (12 most intense, 10 to 90 degrees two-theta, by angle)
hkl 1 1 1, 2θ 20.08, I 12
hkl 2 0 1, 2θ 24.44, I 34
hkl 2 1 1, 2θ 26.36, I 100
hkl 1 0 2, 2θ 30.96, I 43
hkl 1 3 0, 2θ 31.12, I 90
hkl 3 1 1, 2θ 34.51, I 21
hkl 1 2 2, 2θ 36.87, I 27
hkl 4 2 0, 2θ 44.59, I 29
hkl 2 3 2, 2θ 46.78, I 27
hkl 4 1 2, 2θ 51.15, I 21
hkl 5 0 1, 2θ 52.55, I 28
hkl 5 5 0, 2θ 73.70, I 13